No. 1
Sr3BiCl3O3: computed X-ray powder pattern (λ = 1.5418 Å (Cu Kα)), based on a DFT-relaxed cell (PBE, the Materials Project).
No peak broadening, texture or thermal motion is included.

Atomic structure:
Unit cell a=6.7615 b=11.5780 c=11.9425 alpha=90.00 beta=90.00 gamma=90.00
Space group Pnma (No. 62)
Asymmetric unit:
Sr 0.1556 0.2500 0.0326 x4
Sr 0.1667 0.0706 0.3899 x8
Bi 0.0995 0.2500 0.6266 x4
Cl 0.0858 0.7500 0.7277 x4
Cl 0.0935 0.5054 0.1458 x8
O 0.0788 0.6228 0.4517 x8
O 0.2043 0.7500 0.9897 x4

Peak list (6 most intense, 2θ = 10–80°, by angle)
(1 1 2), d = 4.173 Å, 21.29 deg, intensity 84
(1 2 2), d = 3.541 Å, 25.15 deg, intensity 100
(2 1 0), d = 3.245 Å, 27.48 deg, intensity 72
(1 2 3), d = 2.951 Å, 30.29 deg, intensity 67
(1 3 2), d = 2.923 Å, 30.59 deg, intensity 96
(2 2 1), d = 2.836 Å, 31.55 deg, intensity 95

No. 2
YFe10Mo2: computed X-ray powder pattern (λ = 1.5418 Å (Cu Kα)), based on a DFT-relaxed cell (PBE, the Materials Project).
No peak broadening, texture or thermal motion is included.

Atomic structure:
Unit cell a=4.7517 b=8.5145 c=8.6127 alpha=90.00 beta=90.00 gamma=90.00
Space group Immm (No. 71)
Asymmetric unit:
Y 0.0000 0.0000 0.0000 x2
Fe 0.0000 0.2809 0.5000 x4
Fe 0.0000 0.3594 0.0000 x4
Fe 0.0000 0.5000 0.2752 x4
Fe 0.2500 0.2500 0.2500 x8
Mo 0.0000 0.0000 0.3581 x4

Peak list (6 most intense, 2θ = 10–80°, by angle)
(1 3 0), d = 2.437 Å, 36.89 deg, intensity 33
(0 4 0), d = 2.128 Å, 42.47 deg, intensity 100
(1 3 2), d = 2.121 Å, 42.63 deg, intensity 41
(2 2 0), d = 2.075 Å, 43.63 deg, intensity 46
(0 4 2), d = 1.910 Å, 47.61 deg, intensity 35
(2 2 2), d = 1.869 Å, 48.72 deg, intensity 46

No. 3
Be4CoGe: computed X-ray powder pattern (λ = 1.5418 Å (Cu Kα)), based on a DFT-relaxed cell (PBE, the Materials Project).
No peak broadening, texture or thermal motion is included.

Atomic structure:
Unit cell a=6.0469 b=6.0469 c=6.0469 alpha=90.00 beta=90.00 gamma=90.00
Space group F-43m (No. 216)
Asymmetric unit:
Be 0.1234 0.1234 0.3766 x16
Co 0.2500 0.2500 0.7500 x4
Ge 0.0000 0.0000 0.0000 x4

Peak list (6 most intense, 2θ = 10–80°, by angle)
(1 1 1), d = 3.491 Å, 25.51 deg, intensity 98
(2 2 0), d = 2.138 Å, 42.27 deg, intensity 100
(3 1 1), d = 1.823 Å, 50.03 deg, intensity 76
(4 0 0), d = 1.512 Å, 61.32 deg, intensity 11
(3 3 1), d = 1.387 Å, 67.52 deg, intensity 18
(4 2 2), d = 1.234 Å, 77.30 deg, intensity 31

No. 4
MgZn2Cu2H6Cl2O6: computed X-ray powder pattern (λ = 1.5418 Å (Cu Kα)), based on a DFT-relaxed cell (PBE, the Materials Project).
No peak broadening, texture or thermal motion is included.

Atomic structure:
Unit cell a=5.5694 b=6.3900 c=6.6249 alpha=90.00 beta=90.65 gamma=90.00
Space group Pm (No. 6)
Asymmetric unit:
Mg 0.0000 0.0000 0.0000 x1
Zn 0.8828 0.5000 0.2538 x1
Zn 0.8951 0.0000 0.4113 x1
Cu 0.9162 0.3144 0.7309 x2
H 0.2434 0.0000 0.6916 x1
H 0.2554 0.2278 0.2219 x2
H 0.5648 0.2962 0.4967 x2
H 0.6065 0.5000 0.9299 x1
Cl 0.2858 0.5000 0.6443 x1
Cl 0.5645 0.0000 0.9880 x1
O 0.0676 0.0000 0.7008 x1
O 0.0812 0.2212 0.2054 x2
O 0.7290 0.2720 0.4497 x2
O 0.7799 0.5000 0.9549 x1

Peak list (6 most intense, 2θ = 10–80°, by angle)
(1 0 0), d = 5.569 Å, 15.91 deg, intensity 100
(0 1 2), d = 2.941 Å, 30.40 deg, intensity 19
(1 0 2), d = 2.833 Å, 31.59 deg, intensity 18
(1 2 -1), d = 2.562 Å, 35.03 deg, intensity 26
(2 1 0), d = 2.552 Å, 35.16 deg, intensity 11
(2 2 1), d = 1.996 Å, 45.44 deg, intensity 11

No. 5
LaP3Au2: computed X-ray powder pattern (λ = 1.5418 Å (Cu Kα)), based on a DFT-relaxed cell (PBE, the Materials Project).
No peak broadening, texture or thermal motion is included.

Atomic structure:
Unit cell a=9.4862 b=4.0797 c=13.7132 alpha=90.00 beta=90.00 gamma=90.00
Space group Pnma (No. 62)
Asymmetric unit:
La 0.0203 0.2500 0.1406 x4
P 0.0233 0.7500 0.6435 x4
P 0.1762 0.7500 0.0420 x4
P 0.2002 0.2500 0.3315 x4
Au 0.1569 0.2500 0.6858 x4
Au 0.2378 0.2500 0.9405 x4

Peak list (6 most intense, 2θ = 10–80°, by angle)
(1 1 2), d = 3.289 Å, 27.11 deg, intensity 52
(1 0 4), d = 3.224 Å, 27.67 deg, intensity 95
(2 1 1), d = 3.017 Å, 29.61 deg, intensity 100
(1 1 3), d = 2.898 Å, 30.85 deg, intensity 76
(3 0 3), d = 2.600 Å, 34.49 deg, intensity 60
(2 1 3), d = 2.562 Å, 35.03 deg, intensity 58

No. 6
Ba2In: computed X-ray powder pattern (λ = 1.5418 Å (Cu Kα)), based on a DFT-relaxed cell (PBE, the Materials Project).
No peak broadening, texture or thermal motion is included.

Atomic structure:
Unit cell a=8.2209 b=6.0053 c=11.1143 alpha=90.00 beta=90.00 gamma=90.00
Space group Pnma (No. 62)
Asymmetric unit:
Ba 0.0231 0.2500 0.1939 x4
Ba 0.1728 0.2500 0.5738 x4
In 0.2311 0.2500 0.8955 x4

Peak list (6 most intense, 2θ = 10–80°, by angle)
(1 1 2), d = 3.654 Å, 24.36 deg, intensity 40
(2 1 0), d = 3.392 Å, 26.27 deg, intensity 35
(2 0 2), d = 3.305 Å, 26.98 deg, intensity 31
(2 1 1), d = 3.244 Å, 27.49 deg, intensity 100
(0 1 3), d = 3.153 Å, 28.30 deg, intensity 87
(0 2 0), d = 3.003 Å, 29.75 deg, intensity 60